For Sn3SbF9, the GGA-PBE geometry in the Materials Project gives the computed powder diffraction line list in this record (Cu Ka).
Intensities are scaled so that the largest is 1000.

Structural model:
a b c (Å): 4.789 9.383 21.627
angles (deg): 90.00 90.00 90.00
Sites, in units of the cell vectors:
1 Sn 0.006 0.010 0.120
2 Sn 0.006 0.010 0.380
3 Sn 0.006 0.490 0.620
4 Sn 0.006 0.490 0.880
5 Sn 0.444 0.750 0.000
6 Sn 0.444 0.750 0.500
7 Sn 0.556 0.250 0.000
8 Sn 0.556 0.250 0.500
9 Sn 0.994 0.510 0.120
10 Sn 0.994 0.510 0.380
11 Sn 0.994 0.990 0.620
12 Sn 0.994 0.990 0.880
13 Sb 0.448 0.249 0.750
14 Sb 0.448 0.251 0.250
15 Sb 0.552 0.749 0.750
16 Sb 0.552 0.751 0.250
17 F 0.113 0.676 0.559
18 F 0.113 0.676 0.941
19 F 0.113 0.824 0.059
20 F 0.113 0.824 0.441
21 F 0.276 0.136 0.660
22 F 0.276 0.136 0.840
23 F 0.276 0.364 0.160
24 F 0.276 0.364 0.340
25 F 0.277 0.674 0.187
26 F 0.277 0.674 0.313
27 F 0.277 0.826 0.687
28 F 0.277 0.826 0.813
29 F 0.315 0.544 0.053
30 F 0.315 0.544 0.447
31 F 0.315 0.956 0.553
32 F 0.315 0.956 0.947
33 F 0.321 0.574 0.750
34 F 0.321 0.926 0.250
35 F 0.679 0.074 0.750
36 F 0.679 0.426 0.250
37 F 0.685 0.044 0.053
38 F 0.685 0.044 0.447
39 F 0.685 0.456 0.553
40 F 0.685 0.456 0.947
41 F 0.723 0.174 0.187
42 F 0.723 0.174 0.313
43 F 0.723 0.326 0.687
44 F 0.723 0.326 0.813
45 F 0.724 0.636 0.660
46 F 0.724 0.636 0.840
47 F 0.724 0.864 0.160
48 F 0.724 0.864 0.340
49 F 0.887 0.176 0.559
50 F 0.887 0.176 0.941
51 F 0.887 0.324 0.059
52 F 0.887 0.324 0.441

Largest 10 diffraction maxima, low angle first, 2θ = 10–80°:
2θ/deg	I/Imax	(hkl)
24.8	1000	1 0 4
25.1	906	0 2 4
26.6	720	1 2 0
33.1	151	0 0 8
43.0	488	1 2 8
45.7	344	2 2 4
46.2	375	1 4 4
50.9	141	2 0 8
51.6	142	0 4 8
54.6	155	0 2 12

For SrZnSbF, the GGA-PBE geometry in the Materials Project gives the computed powder diffraction line list in this record (Cu Ka).
Intensities are scaled so that the largest is 1000.

Structural model:
a b c (Å): 4.355 4.355 9.476
angles (deg): 90.00 90.00 90.00
Sites, in units of the cell vectors:
1 Sr 0.250 0.250 0.140
2 Sr 0.750 0.750 0.860
3 Zn 0.250 0.750 0.500
4 Zn 0.750 0.250 0.500
5 Sb 0.250 0.250 0.679
6 Sb 0.750 0.750 0.321
7 F 0.250 0.750 0.000
8 F 0.750 0.250 0.000

Largest 10 diffraction maxima, low angle first, 2θ = 10–80°:
2θ/deg	I/Imax	(hkl)
27.8	1000	1 0 2
29.0	188	1 1 0
34.7	574	1 1 2
41.5	464	2 0 0
43.5	204	1 0 4
48.5	253	1 1 4
50.7	373	2 1 2
60.1	149	2 2 0
61.7	142	2 1 4
71.3	126	3 1 2